[1]
Computed powder diffraction line list of La3Sm3Ga4 for Cu Kα, from a structure optimized by DFT (PBE).
Peak positions follow from Bragg's law for the DFT cell and can differ from measured ones.

a = 4.5146 Å, b = 11.0782 Å, c = 11.2372 Å
α = 90.00°, β = 90.00°, γ = 90.00°
Space group Amm2 (No. 38)
Symmetry-distinct sites (fractional):
La  0.0000  0.0000  0.0000 [2 per cell]
La  0.5000  0.2459  0.0783 [4 per cell]
Sm  0.0000  0.0000  0.6521 [2 per cell]
Sm  0.0000  0.1742  0.3305 [4 per cell]
Ga  0.5000  0.0000  0.2191 [2 per cell]
Ga  0.5000  0.0000  0.4488 [2 per cell]
Ga  0.5000  0.1180  0.8239 [4 per cell]

The 10 most intense peaks (10° ≤ 2θ ≤ 90°), most intense first:
two_theta, d (Å), intensity, index
30.1, 2.970, 100, 1 2 2
32.3, 2.770, 90, 1 3 1
32.1, 2.790, 76, 1 1 3
39.9, 2.257, 37, 2 0 0
35.8, 2.505, 34, 0 2 4
36.2, 2.484, 32, 0 4 2
25.3, 3.514, 21, 1 0 2
54.7, 1.677, 20, 2 2 4
55.0, 1.671, 19, 2 4 2
52.0, 1.758, 17, 2 0 4

=====

[2]
Computed powder diffraction line list of La3SmGa for Cu Kα, from a structure optimized by DFT (PBE).
Peak positions follow from Bragg's law for the DFT cell and can differ from measured ones.

a = 3.7212 Å, b = 9.3076 Å, c = 9.7099 Å
α = 75.98°, β = 78.97°, γ = 89.99°
Space group P-1 (No. 2)
Symmetry-distinct sites (fractional):
La  0.9999  0.1729  0.0010 [2 per cell]
La  0.1864  0.8663  0.6269 [2 per cell]
La  0.2043  0.3401  0.5918 [2 per cell]
Sm  0.4088  0.4657  0.1800 [2 per cell]
Ga  0.3805  0.9243  0.2399 [2 per cell]

The 10 most intense peaks (10° ≤ 2θ ≤ 90°), most intense first:
two_theta, d (Å), intensity, index
30.8, 2.906, 100, 1 2 1
30.9, 2.893, 90, 0 2 -2
34.2, 2.622, 85, 1 0 -2
59.0, 1.565, 27, 2 2 -1
49.0, 1.861, 18, 2 0 1
52.6, 1.741, 15, 1 4 -1
28.9, 3.092, 14, 0 3 1
46.7, 1.945, 14, 1 3 4
38.7, 2.327, 14, 0 4 1
59.3, 1.559, 14, 1 2 -4

=====

[3]
Computed powder diffraction line list of La2Sm6Ga for Cu Kα, from a structure optimized by DFT (PBE).
Peak positions follow from Bragg's law for the DFT cell and can differ from measured ones.

a = 17.5589 Å, b = 9.6203 Å, c = 3.5851 Å
α = 90.00°, β = 90.92°, γ = 90.00°
Space group C2/m (No. 12)
Symmetry-distinct sites (fractional):
La  0.1699  0.0000  0.4868 [4 per cell]
Sm  0.0000  0.2324  0.5000 [4 per cell]
Sm  0.1632  0.3317  0.9962 [8 per cell]
Ga  0.0000  0.5000  0.0000 [2 per cell]

The 10 most intense peaks (10° ≤ 2θ ≤ 90°), most intense first:
two_theta, d (Å), intensity, index
30.5, 2.927, 100, 6 0 0
31.8, 2.812, 100, 3 3 0
32.7, 2.742, 40, 2 2 -1
32.9, 2.721, 33, 2 2 1
27.0, 3.306, 28, 1 1 -1
45.4, 1.997, 28, 0 4 1
37.6, 2.390, 28, 4 2 1
61.6, 1.506, 26, 3 3 2
37.2, 2.419, 24, 4 2 -1
27.1, 3.290, 24, 1 1 1